Structure and computed XRD peak list of NaNi2Mo2O10 (a cell relaxed with PBE+U; Cu Kα (weighted mean of Kα1 and Kα2)).

Atomic structure:
```
NaNi2Mo2O10
1.0
4.940 -2.961 0.000
4.940 2.961 0.000
-3.845 0.000 7.069
Na Ni Mo O
1 2 2 10
Direct
0.000 0.000 0.000 Na
0.000 0.500 0.500 Ni
0.500 0.000 0.500 Ni
0.433 0.433 0.243 Mo
0.567 0.567 0.757 Mo
0.190 0.190 0.581 O
0.204 0.700 0.738 O
0.279 0.279 0.016 O
0.300 0.796 0.262 O
0.343 0.343 0.403 O
0.657 0.657 0.597 O
0.700 0.204 0.738 O
0.721 0.721 0.984 O
0.796 0.300 0.262 O
0.810 0.810 0.419 O
```

The 10 most intense peaks (2θ = 10–90°), by intensity:
- 18.13 deg, I 100
- 23.68 deg, I 91
- 12.52 deg, I 67
- 35.46 deg, I 61
- 26.85 deg, I 60
- 51.67 deg, I 55
- 31.15 deg, I 49
- 28.83 deg, I 49
- 19.08 deg, I 31
- 39.85 deg, I 30

Structure and computed XRD peak list of NaMo4O6 (a cell relaxed with PBE+U; Cu Kα (weighted mean of Kα1 and Kα2)).

Atomic structure:
```
NaMo4O6
1.0
8.837 0.000 0.000
0.000 8.837 0.000
0.000 0.000 3.810
Na Mo O
2 8 12
Direct
0.000 0.000 0.000 Na
0.500 0.500 0.000 Na
0.110 0.390 0.000 Mo
0.218 0.718 0.500 Mo
0.282 0.218 0.500 Mo
0.390 0.890 0.000 Mo
0.610 0.110 0.000 Mo
0.718 0.782 0.500 Mo
0.782 0.282 0.500 Mo
0.890 0.610 0.000 Mo
0.038 0.256 0.500 O
0.167 0.667 0.000 O
0.244 0.462 0.500 O
0.256 0.962 0.500 O
0.333 0.167 0.000 O
0.462 0.756 0.500 O
0.538 0.244 0.500 O
0.667 0.833 0.000 O
0.744 0.038 0.500 O
0.756 0.538 0.500 O
0.833 0.333 0.000 O
0.962 0.744 0.500 O
```

The 10 most intense peaks (2θ = 10–90°), by intensity:
- 30.99 deg, I 100
- 32.65 deg, I 81
- 14.17 deg, I 79
- 47.58 deg, I 71
- 36.67 deg, I 57
- 20.10 deg, I 57
- 42.16 deg, I 43
- 47.75 deg, I 36
- 32.03 deg, I 34
- 57.48 deg, I 26

Structure and computed XRD peak list of Na3Mo2O8 (a cell relaxed with PBE+U; Cu Kα (weighted mean of Kα1 and Kα2)).

Atomic structure:
```
Na3Mo2O8
1.0
3.504 -6.188 0.000
3.504 6.188 0.000
0.000 0.000 9.486
Na Mo O
6 4 16
Direct
0.000 0.000 0.000 Na
0.124 0.376 0.250 Na
0.376 0.124 0.750 Na
0.500 0.500 0.500 Na
0.624 0.876 0.250 Na
0.876 0.624 0.750 Na
0.121 0.879 0.381 Mo
0.379 0.621 0.881 Mo
0.621 0.379 0.119 Mo
0.879 0.121 0.619 Mo
0.015 0.985 0.253 O
0.100 0.321 0.509 O
0.179 0.400 0.991 O
0.250 0.750 0.295 O
0.250 0.750 0.795 O
0.321 0.100 0.491 O
0.400 0.179 0.009 O
0.485 0.515 0.753 O
0.515 0.485 0.247 O
0.600 0.821 0.991 O
0.679 0.900 0.509 O
0.750 0.250 0.205 O
0.750 0.250 0.705 O
0.821 0.600 0.009 O
0.900 0.679 0.491 O
0.985 0.015 0.747 O
```

The 10 most intense peaks (2θ = 10–90°), by intensity:
- 23.77 deg, I 100
- 17.29 deg, I 77
- 30.80 deg, I 72
- 26.78 deg, I 49
- 55.41 deg, I 49
- 31.78 deg, I 43
- 17.11 deg, I 40
- 31.45 deg, I 34
- 28.86 deg, I 30
- 25.42 deg, I 28